For CeSm5Tm, the PBE geometry in Alexandria gives the calculated powder X-ray diffraction pattern in this record (Cu Kα X-rays).
Neutral-atom scattering factors, no anomalous dispersion.

a b c (Å): 5.296 5.598 7.948
angles (deg): 101.17 90.17 90.28
Space group P-1 (No. 2)
Symmetry-distinct sites (fractional):
Ce 0.000 0.000 0.000 (multiplicity 1)
Sm 0.000 0.000 0.500 (multiplicity 1)
Sm 0.002 0.538 0.788 (multiplicity 2)
Sm 0.500 0.144 0.819 (multiplicity 2)
Tm 0.500 0.500 0.500 (multiplicity 1)

Peak list (10 most intense, 10 to 90 degrees two-theta, sorted by position)
hkl	2θ/deg	Rel. int.
-1 1 1	27.3	20
1 1 1	27.5	21
1 1 -2	30.5	100
0 2 0	32.6	15
2 0 0	33.9	36
0 0 3	34.5	13
-1 1 2	35.0	12
1 1 2	35.2	12
3 1 -2	58.5	16
2 2 -4	63.5	11

***

For CeSm4Tm6, the PBE geometry in Alexandria gives the calculated powder X-ray diffraction pattern in this record (Cu Kα X-rays).
Neutral-atom scattering factors, no anomalous dispersion.

a b c (Å): 6.577 6.577 16.795
angles (deg): 90.00 90.00 90.00
Space group I-42m (No. 121)
Symmetry-distinct sites (fractional):
Ce 0.000 0.000 0.000 (multiplicity 2)
Sm 0.190 0.190 0.174 (multiplicity 8)
Tm 0.000 0.500 0.000 (multiplicity 4)
Tm 0.182 0.182 0.374 (multiplicity 8)

Peak list (10 most intense, 10 to 90 degrees two-theta, sorted by position)
hkl	2θ/deg	Rel. int.
1 1 4	28.6	43
2 0 2	29.2	64
1 0 5	29.9	26
2 1 1	30.9	100
0 0 6	32.0	27
2 0 4	34.6	86
1 1 6	37.5	31
2 2 0	38.7	33
2 1 5	40.8	37
4 1 1	58.1	31

***

For CeSm7Tm4, the PBE geometry in Alexandria gives the calculated powder X-ray diffraction pattern in this record (Cu Kα X-rays).
Neutral-atom scattering factors, no anomalous dispersion.

a b c (Å): 18.742 7.031 5.958
angles (deg): 90.00 90.29 90.00
Space group C2/m (No. 12)
Symmetry-distinct sites (fractional):
Ce 0.000 0.000 0.000 (multiplicity 2)
Sm 0.000 0.000 0.500 (multiplicity 2)
Sm 0.037 0.500 0.752 (multiplicity 4)
Sm 0.187 0.000 0.748 (multiplicity 4)
Sm 0.212 0.500 0.752 (multiplicity 4)
Tm 0.137 0.268 0.249 (multiplicity 8)

Peak list (10 most intense, 10 to 90 degrees two-theta, sorted by position)
hkl	2θ/deg	Rel. int.
0 0 2	30.0	31
2 2 -1	31.0	100
4 2 0	31.8	51
6 0 -1	32.3	31
6 0 1	32.4	30
1 1 -2	33.0	20
4 0 2	35.8	15
2 2 3	53.9	21
11 1 0	55.5	17
6 4 -1	62.6	17

***

For CeSm10Tm6, the PBE geometry in Alexandria gives the calculated powder X-ray diffraction pattern in this record (Cu Kα X-rays).
Neutral-atom scattering factors, no anomalous dispersion.

a b c (Å): 9.7153 9.7153 6.8480
angles (deg): 90.00 90.00 120.00
Space group P-31m (No. 162)
Symmetry-distinct sites (fractional):
Ce 0.0000 0.0000 0.0000 (multiplicity 1)
Sm 0.0000 0.2755 0.3175 (multiplicity 6)
Sm 0.3333 0.6667 0.0000 (multiplicity 2)
Sm 0.3333 0.6667 0.5000 (multiplicity 2)
Tm 0.0000 0.3709 0.8104 (multiplicity 6)

Peak list (10 most intense, 10 to 90 degrees two-theta, sorted by position)
hkl	2θ/deg	Rel. int.
3 -1 1	31.0	23
1 1 2	31.9	100
4 -1 1	40.9	6
4 -2 2	45.8	15
3 2 1	49.0	8
4 -1 3	56.4	5
4 1 2	56.9	14
2 -1 4	57.0	10
4 0 3	59.7	10
6 -1 1	63.0	8

***

For CeSm2Tm12, the PBE geometry in Alexandria gives the calculated powder X-ray diffraction pattern in this record (Cu Kα X-rays).
Neutral-atom scattering factors, no anomalous dispersion.

a b c (Å): 3.515 47.710 5.553
angles (deg): 90.00 90.00 90.00
Space group Cmmm (No. 65)
Symmetry-distinct sites (fractional):
Ce 0.000 0.000 0.000 (multiplicity 2)
Sm 0.000 0.360 0.000 (multiplicity 4)
Tm 0.000 0.096 0.500 (multiplicity 4)
Tm 0.000 0.165 0.500 (multiplicity 4)
Tm 0.000 0.214 0.000 (multiplicity 4)
Tm 0.000 0.277 0.500 (multiplicity 4)
Tm 0.000 0.432 0.000 (multiplicity 4)
Tm 0.000 0.467 0.500 (multiplicity 4)

Peak list (10 most intense, 10 to 90 degrees two-theta, sorted by position)
hkl	2θ/deg	Rel. int.
1 3 1	30.6	24
0 14 1	30.8	68
1 5 1	31.6	100
0 0 2	32.2	83
1 11 0	32.8	40
0 16 1	34.1	41
1 9 1	34.6	51
1 11 2	46.7	30
0 14 3	56.5	22
2 0 2	62.6	25

***

For CeSm2Tm5, the PBE geometry in Alexandria gives the calculated powder X-ray diffraction pattern in this record (Cu Kα X-rays).
Neutral-atom scattering factors, no anomalous dispersion.

a b c (Å): 7.043 14.103 4.996
angles (deg): 90.00 90.00 90.00
Space group Pbam (No. 55)
Symmetry-distinct sites (fractional):
Ce 0.000 0.000 0.000 (multiplicity 2)
Sm 0.250 0.124 0.500 (multiplicity 4)
Tm 0.000 0.500 0.000 (multiplicity 2)
Tm 0.006 0.250 0.000 (multiplicity 4)
Tm 0.242 0.876 0.500 (multiplicity 4)

Peak list (10 most intense, 10 to 90 degrees two-theta, sorted by position)
hkl	2θ/deg	Rel. int.
0 4 1	31.1	100
0 0 2	36.0	51
0 8 0	51.8	30
4 0 0	51.9	6
0 4 3	61.6	14
2 8 1	61.7	28
0 8 2	64.8	12
0 12 1	84.7	15
2 4 4	87.3	6
2 12 0	87.5	8